This entry pairs a crystal structure of Ca4Hg3Pd with its calculated XRD peak list. Radiation: copper Kα. Structure: a DFT-relaxed cell (GGA-PBE, Alexandria).
Lines closer than 0.1° are merged.

Atomic structure:
```
data_Ca4Hg3Pd
_chemical_formula_sum 'Ca4 Hg3 Pd1'
_space_group_name_H-M_alt 'P 4/m m m'
_space_group_IT_number 123
_space_group_name_Hall '-P 4 2'
_cell_length_a 3.7142
_cell_length_b 3.7142
_cell_length_c 14.9692
_cell_angle_alpha 90.00
_cell_angle_beta 90.00
_cell_angle_gamma 90.00
loop_
_atom_site_label
_atom_site_type_symbol
_atom_site_fract_x
_atom_site_fract_y
_atom_site_fract_z
_atom_site_occupancy
Ca1 Ca 0.0000 0.0000 0.1126 1
Ca2 Ca 0.0000 0.0000 0.3708 1
Hg1 Hg 0.5000 0.5000 0.2410 1
Hg2 Hg 0.5000 0.5000 0.5000 1
Pd1 Pd 0.5000 0.5000 0.0000 1
```

Main lines, in order of rising 2θ (10 to 90 degrees two-theta):
d/Å	Position (°2θ)	I_rel	(hkl)
3.742	23.8	23	0 0 4
3.714	24.0	46	1 0 0
2.636	34.0	100	1 0 4
2.626	34.1	51	1 1 0
2.150	42.0	22	1 1 4
1.857	49.1	18	2 0 0
1.671	54.9	10	1 0 8
1.662	55.3	21	2 1 0
1.524	60.8	17	1 1 8
1.518	61.0	37	2 1 4
1.318	71.6	10	2 0 8
1.175	82.0	16	3 1 0